# Li7Mn2Co3O12
Simulated X-ray diffraction stick pattern, Cu Kα. Input: a cell relaxed with PBE+U.

Lattice parameters (Å, degrees): 5.092 5.783 7.762 79.69 78.45 73.76
Space group P1 (No. 1)
Unique sites:
Li 0.000 0.000 0.000 [1 per cell]
Li 0.001 0.174 0.327 [1 per cell]
Li 0.011 0.334 0.679 [1 per cell]
Li 0.012 0.837 0.673 [1 per cell]
Li 0.502 0.835 0.168 [1 per cell]
Li 0.999 0.508 0.002 [1 per cell]
Li 0.999 0.681 0.320 [1 per cell]
Mn 0.499 0.008 0.500 [1 per cell]
Mn 0.501 0.509 0.498 [1 per cell]
Co 0.500 0.171 0.853 [1 per cell]
Co 0.505 0.340 0.165 [1 per cell]
Co 0.511 0.673 0.846 [1 per cell]
O 0.269 0.331 0.434 [1 per cell]
O 0.274 0.647 0.082 [1 per cell]
O 0.275 0.831 0.430 [1 per cell]
O 0.278 0.180 0.075 [1 per cell]
O 0.281 0.003 0.739 [1 per cell]
O 0.293 0.509 0.739 [1 per cell]
O 0.716 0.025 0.265 [1 per cell]
O 0.717 0.184 0.583 [1 per cell]
O 0.718 0.496 0.267 [1 per cell]
O 0.728 0.686 0.568 [1 per cell]
O 0.748 0.836 0.905 [1 per cell]
O 0.756 0.339 0.914 [1 per cell]

Peak list (10 most intense, 10 to 90 degrees two-theta, by angle)
- hkl 1 0 0, d 4.827, intensity 100
- hkl 0 0 3, d 2.513, intensity 14
- hkl 0 2 -1, d 2.483, intensity 13
- hkl 1 2 2, d 2.465, intensity 12
- hkl 1 0 -3, d 2.097, intensity 30
- hkl 1 -2 1, d 2.065, intensity 28
- hkl 2 2 2, d 2.051, intensity 27
- hkl -1 2 2, d 1.906, intensity 9
- hkl -2 2 2, d 1.474, intensity 15
- hkl 1 4 1, d 1.446, intensity 8



# Li5MnCo2O8
Simulated X-ray diffraction stick pattern, Cu Kα. Input: a cell relaxed with PBE+U.

Lattice parameters (Å, degrees): 4.969 5.830 5.078 90.00 109.30 90.00
Space group P2 (No. 3)
Unique sites:
Li 0.000 0.000 0.000 [1 per cell]
Li 0.000 0.240 0.500 [1 per cell]
Li 0.000 0.756 0.500 [1 per cell]
Li 0.500 0.498 0.500 [1 per cell]
Li 0.500 0.997 0.500 [1 per cell]
Mn 0.500 0.749 0.000 [1 per cell]
Co 0.000 0.502 0.000 [1 per cell]
Co 0.500 0.238 0.000 [1 per cell]
O 0.243 0.272 0.218 [2 per cell]
O 0.247 0.508 0.776 [2 per cell]
O 0.247 0.730 0.217 [2 per cell]
O 0.278 0.985 0.761 [2 per cell]

Peak list (10 most intense, 10 to 90 degrees two-theta, by angle)
- hkl 0 1 0, d 5.830, intensity 17
- hkl 0 0 1, d 4.793, intensity 100
- hkl 1 1 0, d 3.654, intensity 13
- hkl 1 2 0, d 2.476, intensity 25
- hkl 2 0 -1, d 2.450, intensity 12
- hkl 1 2 1, d 2.058, intensity 59
- hkl 2 0 -2, d 2.048, intensity 29
- hkl 1 2 2, d 1.588, intensity 14
- hkl 1 2 -3, d 1.464, intensity 16
- hkl 3 2 -1, d 1.440, intensity 15



# Li6Mn5CoO12
Simulated X-ray diffraction stick pattern, Cu Kα. Input: a cell relaxed with PBE+U.

Lattice parameters (Å, degrees): 5.156 5.159 10.443 86.69 80.43 63.60
Space group P-1 (No. 2)
Unique sites:
Li 0.063 0.341 0.281 [2 per cell]
Li 0.281 0.984 0.715 [2 per cell]
Li 0.375 0.693 0.286 [2 per cell]
Mn 0.169 0.669 0.000 [2 per cell]
Mn 0.331 0.333 0.501 [2 per cell]
Mn 0.500 0.000 0.000 [1 per cell]
Co 0.000 0.000 0.500 [1 per cell]
O 0.002 0.685 0.383 [2 per cell]
O 0.141 0.329 0.093 [2 per cell]
O 0.235 0.968 0.898 [2 per cell]
O 0.331 0.634 0.611 [2 per cell]
O 0.349 0.035 0.385 [2 per cell]
O 0.436 0.703 0.103 [2 per cell]

Peak list (10 most intense, 10 to 90 degrees two-theta, by angle)
- hkl 0 0 2, d 5.148, intensity 100
- hkl 1 -1 1, d 2.684, intensity 11
- hkl -1 1 1, d 2.550, intensity 13
- hkl 1 2 1, d 2.535, intensity 10
- hkl 2 1 2, d 2.442, intensity 9
- hkl 1 -1 3, d 2.240, intensity 12
- hkl 2 1 -2, d 2.141, intensity 10
- hkl 1 2 3, d 2.127, intensity 11
- hkl 1 2 -3, d 1.992, intensity 9
- hkl 0 3 0, d 1.540, intensity 12



# Li7Mn4CoO12
Simulated X-ray diffraction stick pattern, Cu Kα. Input: a cell relaxed with PBE+U.

Lattice parameters (Å, degrees): 9.720 8.586 5.210 90.00 97.31 90.00
Space group C2/m (No. 12)
Unique sites:
Li 0.000 0.000 0.000 [2 per cell]
Li 0.238 0.000 0.743 [4 per cell]
Li 0.245 0.336 0.734 [8 per cell]
Mn 0.000 0.167 0.500 [4 per cell]
Mn 0.000 0.330 0.000 [4 per cell]
Co 0.000 0.500 0.500 [2 per cell]
O 0.105 0.500 0.852 [4 per cell]
O 0.109 0.174 0.845 [8 per cell]
O 0.115 0.000 0.393 [4 per cell]
O 0.116 0.333 0.390 [8 per cell]

Peak list (10 most intense, 10 to 90 degrees two-theta, by angle)
- hkl 1 1 0, d 6.412, intensity 14
- hkl 0 0 1, d 5.168, intensity 9
- hkl 2 0 0, d 4.821, intensity 100
- hkl 0 0 2, d 2.584, intensity 14
- hkl 1 3 -1, d 2.460, intensity 24
- hkl 2 0 2, d 2.166, intensity 32
- hkl 3 3 -1, d 2.037, intensity 54
- hkl 3 3 1, d 1.919, intensity 8
- hkl 5 3 -1, d 1.575, intensity 9
- hkl 1 3 -3, d 1.484, intensity 31